1.
For CrCo2P, a crystal structure in Alexandria, relaxed with PBE gives the simulated powder diffraction line list in this record (Cu Kα (weighted mean of Kα1 and Kα2)).
Kinematic intensities with the Lorentz-polarization factor, no thermal factor.

Structure:
```
data_CrCo2P
_chemical_formula_sum 'Cr1 Co2 P1'
_cell_length_a 2.593
_cell_length_b 3.318
_cell_length_c 5.014
_cell_angle_alpha 90.00
_cell_angle_beta 90.00
_cell_angle_gamma 90.00
_space_group_name_H-M_alt 'P m m 2'
_space_group_IT_number 25
loop_
_space_group_symop_operation_xyz
'x,y,z'
'-x,-y,z'
'-x,y,z'
'x,-y,z'
loop_
_atom_site_label
_atom_site_type_symbol
_atom_site_fract_x
_atom_site_fract_y
_atom_site_fract_z
_atom_site_occupancy
Cr1 Cr 0.000 0.000 0.000 1
Co1 Co 0.000 0.000 0.490 1
Co2 Co 0.500 0.500 0.769 1
P1 P 0.500 0.500 0.290 1
```

Top 10 peaks for 2θ = 5–70°, low angle first:
- d = 5.014 Å, I 97, (0 0 1)
- d = 2.767 Å, I 78, (0 1 1)
- d = 2.507 Å, I 49, (0 0 2)
- d = 2.304 Å, I 47, (1 0 1)
- d = 2.043 Å, I 1000, (1 1 0)
- d = 2.000 Å, I 888, (0 1 2)
- d = 1.892 Å, I 33, (1 1 1)
- d = 1.803 Å, I 624, (1 0 2)
- d = 1.659 Å, I 244, (0 2 0)
- d = 1.584 Å, I 41, (1 1 2)

***

2.
For Pr2Cr3Co14, a crystal structure in Alexandria, relaxed with PBE gives the simulated powder diffraction line list in this record (Cu Kα (weighted mean of Kα1 and Kα2)).
Kinematic intensities with the Lorentz-polarization factor, no thermal factor.

Structure:
```
data_Pr2Cr3Co14
_chemical_formula_sum 'Pr6 Cr9 Co42'
_cell_length_a 8.4129
_cell_length_b 8.4129
_cell_length_c 12.1317
_cell_angle_alpha 90.00
_cell_angle_beta 90.00
_cell_angle_gamma 120.00
_space_group_name_H-M_alt 'R -3 m'
_space_group_IT_number 166
_space_group_name_Hall '-R 3 2"'
loop_
_atom_site_label
_atom_site_type_symbol
_atom_site_fract_x
_atom_site_fract_y
_atom_site_fract_z
_atom_site_occupancy
Pr1 Pr 0.0000 0.0000 0.1479 1
Cr1 Cr 0.0000 0.5000 0.0000 1
Co1 Co 0.0000 0.0000 0.4031 1
Co2 Co 0.0000 0.2838 0.5000 1
Co3 Co 0.0148 0.5074 0.3479 1
```

Top 10 peaks for 2θ = 5–70°, low angle first:
- d = 2.915 Å, I 328, (1 1 3)
- d = 2.685 Å, I 160, (2 1 1)
- d = 2.429 Å, I 427, (3 0 0)
- d = 2.331 Å, I 478, (0 2 4)
- d = 2.103 Å, I 686, (2 2 0)
- d = 2.082 Å, I 1000, (3 0 3)
- d = 2.039 Å, I 217, (2 1 4)
- d = 2.021 Å, I 411, (0 0 6)
- d = 1.866 Å, I 250, (2 2 3)
- d = 1.480 Å, I 172, (1 4 3)

***

3.
For CrCoPt, a crystal structure in Alexandria, relaxed with PBE gives the simulated powder diffraction line list in this record (Cu Kα (weighted mean of Kα1 and Kα2)).
Kinematic intensities with the Lorentz-polarization factor, no thermal factor.

Structure:
```
data_CrCoPt
_chemical_formula_sum 'Cr2 Co2 Pt2'
_cell_length_a 2.649
_cell_length_b 3.591
_cell_length_c 8.025
_cell_angle_alpha 90.00
_cell_angle_beta 90.00
_cell_angle_gamma 90.00
_space_group_name_H-M_alt 'I m m 2'
_space_group_IT_number 44
loop_
_space_group_symop_operation_xyz
'x,y,z'
'-x,-y,z'
'-x,y,z'
'x,-y,z'
'x+1/2,y+1/2,z+1/2'
'-x+1/2,-y+1/2,z+1/2'
'-x+1/2,y+1/2,z+1/2'
'x+1/2,-y+1/2,z+1/2'
loop_
_atom_site_label
_atom_site_type_symbol
_atom_site_fract_x
_atom_site_fract_y
_atom_site_fract_z
_atom_site_occupancy
Cr1 Cr 0.000 0.000 0.000 1
Co1 Co 0.000 0.000 0.354 1
Pt1 Pt 0.000 0.000 0.677 1
```

Top 10 peaks for 2θ = 5–70°, low angle first:
- d = 4.013 Å, I 399, (0 0 2)
- d = 3.278 Å, I 668, (0 1 1)
- d = 2.516 Å, I 337, (1 0 1)
- d = 2.145 Å, I 1000, (0 1 3)
- d = 2.132 Å, I 996, (1 1 0)
- d = 2.006 Å, I 118, (0 0 4)
- d = 1.882 Å, I 890, (1 0 3)
- d = 1.796 Å, I 290, (0 2 0)
- d = 1.639 Å, I 75, (0 2 2)
- d = 1.461 Å, I 313, (1 1 4)

***

4.
For Cr2CoPt8, a crystal structure in Alexandria, relaxed with PBE gives the simulated powder diffraction line list in this record (Cu Kα (weighted mean of Kα1 and Kα2)).
Kinematic intensities with the Lorentz-polarization factor, no thermal factor.

Structure:
```
data_Cr2CoPt8
_chemical_formula_sum 'Cr4 Co2 Pt16'
_cell_length_a 13.989
_cell_length_b 3.918
_cell_length_c 6.202
_cell_angle_alpha 90.00
_cell_angle_beta 106.31
_cell_angle_gamma 90.00
_space_group_name_H-M_alt 'C 1 2/m 1'
_space_group_IT_number 12
loop_
_space_group_symop_operation_xyz
'x,y,z'
'-x,-y,-z'
'-x,y,-z'
'x,-y,z'
'x+1/2,y+1/2,z'
'-x+1/2,-y+1/2,-z'
'-x+1/2,y+1/2,-z'
'x+1/2,-y+1/2,z'
loop_
_atom_site_label
_atom_site_type_symbol
_atom_site_fract_x
_atom_site_fract_y
_atom_site_fract_z
_atom_site_occupancy
Cr1 Cr 0.224 0.000 0.146 1
Co1 Co 0.000 0.500 0.500 1
Pt1 Pt 0.046 0.000 0.231 1
Pt2 Pt 0.098 0.500 0.953 1
Pt3 Pt 0.142 0.000 0.697 1
Pt4 Pt 0.180 0.500 0.417 1
```

Top 10 peaks for 2θ = 5–70°, low angle first:
- d = 3.938 Å, I 45, (2 0 1)
- d = 3.356 Å, I 46, (4 0 0)
- d = 3.299 Å, I 48, (1 1 -1)
- d = 2.251 Å, I 1000, (1 1 2)
- d = 1.967 Å, I 169, (4 0 -3)
- d = 1.959 Å, I 168, (0 2 0)
- d = 1.924 Å, I 153, (6 0 1)
- d = 1.388 Å, I 109, (4 2 -3)
- d = 1.377 Å, I 49, (10 0 -2)
- d = 1.373 Å, I 152, (6 2 1)

***

5.
For VCrCoPt, a crystal structure in Alexandria, relaxed with PBE gives the simulated powder diffraction line list in this record (Cu Kα (weighted mean of Kα1 and Kα2)).
Kinematic intensities with the Lorentz-polarization factor, no thermal factor.

Structure:
```
data_VCrCoPt
_chemical_formula_sum 'V1 Cr1 Co1 Pt1'
_cell_length_a 3.662
_cell_length_b 3.697
_cell_length_c 3.770
_cell_angle_alpha 90.00
_cell_angle_beta 90.00
_cell_angle_gamma 90.00
_space_group_name_H-M_alt 'P m m m'
_space_group_IT_number 47
loop_
_space_group_symop_operation_xyz
'x,y,z'
'-x,-y,-z'
'-x,-y,z'
'x,y,-z'
'x,-y,-z'
'-x,y,z'
'-x,y,-z'
'x,-y,z'
loop_
_atom_site_label
_atom_site_type_symbol
_atom_site_fract_x
_atom_site_fract_y
_atom_site_fract_z
_atom_site_occupancy
V1 V 0.000 0.000 0.000 1
Cr1 Cr 0.500 0.500 0.000 1
Co1 Co 0.500 0.000 0.500 1
Pt1 Pt 0.000 0.500 0.500 1
```

Top 10 peaks for 2θ = 5–70°, low angle first:
- d = 3.770 Å, I 195, (0 0 1)
- d = 3.697 Å, I 148, (0 1 0)
- d = 3.662 Å, I 129, (1 0 0)
- d = 2.640 Å, I 112, (0 1 1)
- d = 2.627 Å, I 125, (1 0 1)
- d = 2.602 Å, I 154, (1 1 0)
- d = 2.141 Å, I 1000, (1 1 1)
- d = 1.885 Å, I 167, (0 0 2)
- d = 1.848 Å, I 157, (0 2 0)
- d = 1.831 Å, I 152, (2 0 0)

***

6.
For RbCr2Co, a crystal structure in Alexandria, relaxed with PBE gives the simulated powder diffraction line list in this record (Cu Kα (weighted mean of Kα1 and Kα2)).
Kinematic intensities with the Lorentz-polarization factor, no thermal factor.

Structure:
```
data_RbCr2Co
_chemical_formula_sum 'Rb4 Cr8 Co4'
_cell_length_a 6.044
_cell_length_b 6.044
_cell_length_c 13.527
_cell_angle_alpha 90.00
_cell_angle_beta 90.00
_cell_angle_gamma 90.00
_space_group_name_H-M_alt 'I 41/a m d'
_space_group_IT_number 141
loop_
_space_group_symop_operation_xyz
'x,y,z'
'-x,-y,-z'
'-y+1/4,x+3/4,z+1/4'
'y+1/4,-x+3/4,-z+1/4'
'-x+1/2,-y,z+1/2'
'x+1/2,y,-z+1/2'
'y+1/4,-x+1/4,z+3/4'
'-y+1/4,x+1/4,-z+3/4'
'x,-y,-z'
'-x,y,z'
'-y+1/4,-x+1/4,-z+3/4'
'y+1/4,x+1/4,z+3/4'
'-x+1/2,y,-z+1/2'
'x+1/2,-y,z+1/2'
'y+1/4,x+3/4,-z+1/4'
'-y+1/4,-x+3/4,z+1/4'
'x+1/2,y+1/2,z+1/2'
'-x+1/2,-y+1/2,-z+1/2'
'-y+3/4,x+1/4,z+3/4'
'y+3/4,-x+1/4,-z+3/4'
'-x,-y+1/2,z'
'x,y+1/2,-z'
'y+3/4,-x+3/4,z+1/4'
'-y+3/4,x+3/4,-z+1/4'
'x+1/2,-y+1/2,-z+1/2'
'-x+1/2,y+1/2,z+1/2'
'-y+3/4,-x+3/4,-z+1/4'
'y+3/4,x+3/4,z+1/4'
'-x,y+1/2,-z'
'x,-y+1/2,z'
'y+3/4,x+1/4,-z+3/4'
'-y+3/4,-x+1/4,z+3/4'
loop_
_atom_site_label
_atom_site_type_symbol
_atom_site_fract_x
_atom_site_fract_y
_atom_site_fract_z
_atom_site_occupancy
Rb1 Rb 0.000 0.250 0.375 1
Cr1 Cr 0.000 0.000 0.000 1
Co1 Co 0.000 0.250 0.875 1
```

Top 10 peaks for 2θ = 5–70°, low angle first:
- d = 5.518 Å, I 154, (1 0 1)
- d = 3.613 Å, I 1000, (1 1 2)
- d = 3.022 Å, I 254, (2 0 0)
- d = 2.759 Å, I 210, (2 0 2)
- d = 2.650 Å, I 161, (2 1 1)
- d = 2.253 Å, I 218, (2 0 4)
- d = 1.994 Å, I 157, (1 1 6)
- d = 1.839 Å, I 261, (3 1 2)
- d = 1.806 Å, I 367, (2 2 4)
- d = 1.458 Å, I 111, (3 1 6)

***

7.
For Cr2CoRe, a crystal structure in Alexandria, relaxed with PBE gives the simulated powder diffraction line list in this record (Cu Kα (weighted mean of Kα1 and Kα2)).
Kinematic intensities with the Lorentz-polarization factor, no thermal factor.

Structure:
```
data_Cr2CoRe
_chemical_formula_sum 'Cr2 Co1 Re1'
_cell_length_a 2.545
_cell_length_b 4.075
_cell_length_c 4.813
_cell_angle_alpha 90.00
_cell_angle_beta 99.54
_cell_angle_gamma 90.00
_space_group_name_H-M_alt 'P 1 m 1'
_space_group_IT_number 6
loop_
_space_group_symop_operation_xyz
'x,y,z'
'x,-y,z'
loop_
_atom_site_label
_atom_site_type_symbol
_atom_site_fract_x
_atom_site_fract_y
_atom_site_fract_z
_atom_site_occupancy
Cr1 Cr 0.000 0.000 0.000 1
Cr2 Cr 0.265 0.500 0.778 1
Co1 Co 0.323 0.000 0.524 1
Re1 Re 0.739 0.500 0.278 1
```

Top 10 peaks for 2θ = 5–70°, low angle first:
- d = 4.747 Å, I 527, (0 0 1)
- d = 4.075 Å, I 372, (0 1 0)
- d = 3.092 Å, I 488, (0 1 1)
- d = 2.137 Å, I 343, (1 1 0)
- d = 2.081 Å, I 448, (1 0 1)
- d = 2.060 Å, I 862, (1 1 -1)
- d = 2.051 Å, I 1000, (0 1 2)
- d = 2.037 Å, I 497, (0 2 0)
- d = 1.853 Å, I 173, (1 1 1)
- d = 1.456 Å, I 272, (1 2 1)

***

8.
For CrCoRe4, a crystal structure in Alexandria, relaxed with PBE gives the simulated powder diffraction line list in this record (Cu Kα (weighted mean of Kα1 and Kα2)).
Kinematic intensities with the Lorentz-polarization factor, no thermal factor.

Structure:
```
data_CrCoRe4
_chemical_formula_sum 'Cr4 Co4 Re16'
_cell_length_a 7.211
_cell_length_b 7.211
_cell_length_c 7.211
_cell_angle_alpha 90.00
_cell_angle_beta 90.00
_cell_angle_gamma 90.00
_space_group_name_H-M_alt 'F -4 3 m'
_space_group_IT_number 216
_space_group_name_Hall 'F -4 2 3'
loop_
_atom_site_label
_atom_site_type_symbol
_atom_site_fract_x
_atom_site_fract_y
_atom_site_fract_z
_atom_site_occupancy
Cr1 Cr 0.000 0.000 0.000 1
Co1 Co 0.250 0.250 0.250 1
Re1 Re 0.125 0.125 0.625 1
```

Top 8 peaks for 2θ = 5–70°, low angle first:
- d = 4.164 Å, I 731, (1 1 1)
- d = 2.550 Å, I 53, (2 2 0)
- d = 2.174 Å, I 1000, (3 1 1)
- d = 2.082 Å, I 788, (2 2 2)
- d = 1.803 Å, I 275, (4 0 0)
- d = 1.654 Å, I 181, (3 3 1)
- d = 1.472 Å, I 17, (4 2 2)
- d = 1.388 Å, I 313, (5 1 1)

***

9.
For Cr5Co6Rh, a crystal structure in Alexandria, relaxed with PBE gives the simulated powder diffraction line list in this record (Cu Kα (weighted mean of Kα1 and Kα2)).
Kinematic intensities with the Lorentz-polarization factor, no thermal factor.

Structure:
```
data_Cr5Co6Rh
_chemical_formula_sum 'Cr5 Co6 Rh1'
_cell_length_a 4.358
_cell_length_b 5.005
_cell_length_c 6.127
_cell_angle_alpha 90.00
_cell_angle_beta 90.75
_cell_angle_gamma 90.00
_space_group_name_H-M_alt 'P 1 2/m 1'
_space_group_IT_number 10
loop_
_space_group_symop_operation_xyz
'x,y,z'
'-x,-y,-z'
'-x,y,-z'
'x,-y,z'
loop_
_atom_site_label
_atom_site_type_symbol
_atom_site_fract_x
_atom_site_fract_y
_atom_site_fract_z
_atom_site_occupancy
Cr1 Cr 0.000 0.000 0.000 1
Cr2 Cr 0.333 0.000 0.337 1
Cr3 Cr 0.334 0.500 0.336 1
Co1 Co 0.173 0.249 0.662 1
Co2 Co 0.500 0.245 0.000 1
Rh1 Rh 0.000 0.500 0.000 1
```

Top 10 peaks for 2θ = 5–70°, low angle first:
- d = 6.127 Å, I 26, (0 0 1)
- d = 5.005 Å, I 20, (0 1 0)
- d = 3.876 Å, I 25, (0 1 1)
- d = 3.286 Å, I 20, (1 1 0)
- d = 3.063 Å, I 15, (0 0 2)
- d = 2.908 Å, I 17, (1 1 -1)
- d = 2.050 Å, I 1000, (1 2 -1)
- d = 2.043 Å, I 995, (2 0 1)
- d = 1.786 Å, I 313, (2 0 -2)
- d = 1.765 Å, I 606, (1 2 2)

***

10.
For CrCo2Rh3, a crystal structure in Alexandria, relaxed with PBE gives the simulated powder diffraction line list in this record (Cu Kα (weighted mean of Kα1 and Kα2)).
Kinematic intensities with the Lorentz-polarization factor, no thermal factor.

Structure:
```
data_CrCo2Rh3
_chemical_formula_sum 'Cr4 Co8 Rh12'
_cell_length_a 3.788
_cell_length_b 11.365
_cell_length_c 7.162
_cell_angle_alpha 90.00
_cell_angle_beta 90.00
_cell_angle_gamma 90.00
_space_group_name_H-M_alt 'C m m m'
_space_group_IT_number 65
_space_group_name_Hall '-C 2 2'
loop_
_atom_site_label
_atom_site_type_symbol
_atom_site_fract_x
_atom_site_fract_y
_atom_site_fract_z
_atom_site_occupancy
Cr1 Cr 0.000 0.159 0.000 1
Co1 Co 0.000 0.170 0.500 1
Co2 Co 0.000 0.500 0.000 1
Co3 Co 0.000 0.500 0.500 1
Rh1 Rh 0.000 0.000 0.250 1
Rh2 Rh 0.000 0.333 0.245 1
```

Top 7 peaks for 2θ = 5–70°, low angle first:
- d = 3.581 Å, I 81, (0 0 2)
- d = 2.679 Å, I 76, (1 3 0)
- d = 2.145 Å, I 1000, (1 3 2)
- d = 1.894 Å, I 336, (2 0 0)
- d = 1.790 Å, I 140, (0 0 4)
- d = 1.674 Å, I 40, (0 6 2)
- d = 1.489 Å, I 27, (1 3 4)

***

11.
For CrCoRh6, a crystal structure in Alexandria, relaxed with PBE gives the simulated powder diffraction line list in this record (Cu Kα (weighted mean of Kα1 and Kα2)).
Kinematic intensities with the Lorentz-polarization factor, no thermal factor.

Structure:
```
data_CrCoRh6
_chemical_formula_sum 'Cr1 Co1 Rh6'
_cell_length_a 5.354
_cell_length_b 5.354
_cell_length_c 3.788
_cell_angle_alpha 90.00
_cell_angle_beta 90.00
_cell_angle_gamma 90.00
_space_group_name_H-M_alt 'P 4/m m m'
_space_group_IT_number 123
_space_group_name_Hall '-P 4 2'
loop_
_atom_site_label
_atom_site_type_symbol
_atom_site_fract_x
_atom_site_fract_y
_atom_site_fract_z
_atom_site_occupancy
Cr1 Cr 0.000 0.000 0.000 1
Co1 Co 0.500 0.500 0.000 1
Rh1 Rh 0.000 0.500 0.000 1
Rh2 Rh 0.249 0.249 0.500 1
```

Top 6 peaks for 2θ = 5–70°, low angle first:
- d = 3.786 Å, I 54, (1 1 0)
- d = 2.677 Å, I 43, (2 0 0)
- d = 2.186 Å, I 1000, (2 0 1)
- d = 1.893 Å, I 478, (2 2 0)
- d = 1.693 Å, I 24, (3 1 0)
- d = 1.546 Å, I 18, (3 1 1)

***

12.
For TiCrCoRh, a crystal structure in Alexandria, relaxed with PBE gives the simulated powder diffraction line list in this record (Cu Kα (weighted mean of Kα1 and Kα2)).
Kinematic intensities with the Lorentz-polarization factor, no thermal factor.

Structure:
```
data_TiCrCoRh
_chemical_formula_sum 'Ti4 Cr4 Co4 Rh4'
_cell_length_a 6.020
_cell_length_b 6.020
_cell_length_c 6.020
_cell_angle_alpha 90.00
_cell_angle_beta 90.00
_cell_angle_gamma 90.00
_space_group_name_H-M_alt 'F -4 3 m'
_space_group_IT_number 216
_space_group_name_Hall 'F -4 2 3'
loop_
_atom_site_label
_atom_site_type_symbol
_atom_site_fract_x
_atom_site_fract_y
_atom_site_fract_z
_atom_site_occupancy
Ti1 Ti 0.000 0.000 0.000 1
Cr1 Cr 0.000 0.000 0.500 1
Co1 Co 0.250 0.250 0.250 1
Rh1 Rh 0.250 0.250 0.750 1
```

Top 8 peaks for 2θ = 5–70°, low angle first:
- d = 3.475 Å, I 71, (1 1 1)
- d = 3.010 Å, I 82, (2 0 0)
- d = 2.128 Å, I 1000, (2 2 0)
- d = 1.815 Å, I 35, (3 1 1)
- d = 1.738 Å, I 24, (2 2 2)
- d = 1.505 Å, I 154, (4 0 0)
- d = 1.381 Å, I 15, (3 3 1)
- d = 1.346 Å, I 32, (4 2 0)

***

13.
For Cr2CoRu, a crystal structure in Alexandria, relaxed with PBE gives the simulated powder diffraction line list in this record (Cu Kα (weighted mean of Kα1 and Kα2)).
Kinematic intensities with the Lorentz-polarization factor, no thermal factor.

Structure:
```
data_Cr2CoRu
_chemical_formula_sum 'Cr2 Co1 Ru1'
_cell_length_a 2.583
_cell_length_b 3.904
_cell_length_c 4.913
_cell_angle_alpha 90.00
_cell_angle_beta 103.38
_cell_angle_gamma 90.00
_space_group_name_H-M_alt 'P 1 m 1'
_space_group_IT_number 6
loop_
_space_group_symop_operation_xyz
'x,y,z'
'x,-y,z'
loop_
_atom_site_label
_atom_site_type_symbol
_atom_site_fract_x
_atom_site_fract_y
_atom_site_fract_z
_atom_site_occupancy
Cr1 Cr 0.000 0.000 0.000 1
Cr2 Cr 0.004 0.500 0.266 1
Co1 Co 0.340 0.500 0.801 1
Ru1 Ru 0.648 0.000 0.492 1
```

Top 10 peaks for 2θ = 5–70°, low angle first:
- d = 3.024 Å, I 134, (0 1 1)
- d = 2.113 Å, I 228, (1 1 0)
- d = 2.089 Å, I 615, (1 1 -1)
- d = 2.038 Å, I 1000, (0 1 2)
- d = 1.975 Å, I 110, (1 0 -2)
- d = 1.952 Å, I 335, (0 2 0)
- d = 1.807 Å, I 65, (1 1 1)
- d = 1.513 Å, I 108, (1 0 -3)
- d = 1.410 Å, I 179, (1 2 1)
- d = 1.388 Å, I 66, (1 2 -2)

***

14.
For Cr2CoSb2, a crystal structure in Alexandria, relaxed with PBE gives the simulated powder diffraction line list in this record (Cu Kα (weighted mean of Kα1 and Kα2)).
Kinematic intensities with the Lorentz-polarization factor, no thermal factor.

Structure:
```
data_Cr2CoSb2
_chemical_formula_sum 'Cr4 Co2 Sb4'
_cell_length_a 3.230
_cell_length_b 3.230
_cell_length_c 16.082
_cell_angle_alpha 90.00
_cell_angle_beta 90.00
_cell_angle_gamma 90.00
_space_group_name_H-M_alt 'I 4/m m m'
_space_group_IT_number 139
_space_group_name_Hall '-I 4 2'
loop_
_atom_site_label
_atom_site_type_symbol
_atom_site_fract_x
_atom_site_fract_y
_atom_site_fract_z
_atom_site_occupancy
Cr1 Cr 0.000 0.500 0.250 1
Co1 Co 0.000 0.000 0.000 1
Sb1 Sb 0.000 0.000 0.395 1
```

Top 10 peaks for 2θ = 5–70°, low angle first:
- d = 3.167 Å, I 373, (1 0 1)
- d = 2.766 Å, I 403, (1 0 3)
- d = 2.680 Å, I 159, (0 0 6)
- d = 2.280 Å, I 1000, (1 0 5)
- d = 2.197 Å, I 422, (1 1 2)
- d = 2.010 Å, I 139, (0 0 8)
- d = 1.986 Å, I 393, (1 1 4)
- d = 1.615 Å, I 249, (2 0 0)
- d = 1.564 Å, I 78, (1 0 9)
- d = 1.395 Å, I 91, (2 1 3)

***

15.
For Cr2CoSi, a crystal structure in Alexandria, relaxed with PBE gives the simulated powder diffraction line list in this record (Cu Kα (weighted mean of Kα1 and Kα2)).
Kinematic intensities with the Lorentz-polarization factor, no thermal factor.

Structure:
```
data_Cr2CoSi
_chemical_formula_sum 'Cr4 Co2 Si2'
_cell_length_a 8.185
_cell_length_b 2.522
_cell_length_c 4.452
_cell_angle_alpha 90.00
_cell_angle_beta 97.31
_cell_angle_gamma 90.00
_space_group_name_H-M_alt 'C 1 m 1'
_space_group_IT_number 8
loop_
_space_group_symop_operation_xyz
'x,y,z'
'x,-y,z'
'x+1/2,y+1/2,z'
'x+1/2,-y+1/2,z'
loop_
_atom_site_label
_atom_site_type_symbol
_atom_site_fract_x
_atom_site_fract_y
_atom_site_fract_z
_atom_site_occupancy
Cr1 Cr 0.000 0.000 0.000 1
Cr2 Cr 0.234 0.000 0.785 1
Co1 Co 0.494 0.000 0.488 1
Si1 Si 0.253 0.500 0.290 1
```

Top 10 peaks for 2θ = 5–70°, low angle first:
- d = 4.059 Å, I 95, (2 0 0)
- d = 3.198 Å, I 46, (2 0 -1)
- d = 2.815 Å, I 42, (2 0 1)
- d = 2.208 Å, I 61, (0 0 2)
- d = 2.149 Å, I 59, (1 1 -1)
- d = 2.082 Å, I 1000, (1 1 1)
- d = 2.052 Å, I 440, (2 0 -2)
- d = 2.030 Å, I 454, (4 0 0)
- d = 1.844 Å, I 331, (2 0 2)
- d = 1.757 Å, I 546, (3 1 -1)